# 1
Theoretical X-ray powder pattern
Compound: AlGaCu2As2O10
Radiation: copper Kα
Structure: a structure optimized by DFT (PBE)

Largest 10 diffraction maxima, in order of rising 2θ, 15° ≤ 2θ ≤ 90°:
2theta	Rel. int.
17.83	43
19.89	72
27.57	50
27.78	100
28.48	30
31.56	48
32.78	50
35.91	56
41.22	23
61.86	20

```
AlGaCu2As2O10
1.0
5.7611 0.0000 0.0000
0.0000 10.3954 0.0000
-1.3669 0.0000 7.3454
Al Ga Cu As O
2 2 4 4 20
direct
0.1875 0.0000 0.1436
0.8125 0.5000 0.8564
0.3117 0.3532 0.8550
0.6883 0.8532 0.1450
0.1621 0.8174 0.4610
0.3398 0.5349 0.5388
0.6602 0.0349 0.4612
0.8379 0.3174 0.5390
0.1739 0.0650 0.7245
0.3244 0.2848 0.2772
0.6756 0.7848 0.7228
0.8261 0.5650 0.2755
0.0051 0.3987 0.7629
0.0923 0.6364 0.3812
0.1222 0.9744 0.9043
0.1330 0.1635 0.1943
0.2028 0.3713 0.4338
0.2956 0.9797 0.5670
0.3742 0.1831 0.8044
0.3813 0.3806 0.1046
0.4076 0.7149 0.6179
0.4814 0.9579 0.2374
0.5186 0.4579 0.7626
0.5924 0.2149 0.3821
0.6187 0.8806 0.8954
0.6258 0.6831 0.1956
0.7044 0.4797 0.4330
0.7972 0.8713 0.5662
0.8670 0.6635 0.8057
0.8778 0.4744 0.0957
0.9077 0.1364 0.6188
0.9949 0.8987 0.2371
```

=====

# 2
Theoretical X-ray powder pattern
Compound: PtN2Cl4
Radiation: copper Kα
Structure: a structure optimized by DFT (PBE)

Largest 10 diffraction maxima, in order of rising 2θ, 15° ≤ 2θ ≤ 90°:
2theta	Rel. int.
16.74	100
18.74	65
21.03	44
22.12	33
24.18	32
25.13	25
28.32	19
31.29	19
33.44	24
38.03	19

```
PtN2Cl4
1.0
3.5927 -4.2237 0.0000
3.5927 4.2237 0.0000
-2.7332 0.0000 13.0287
Pt N Cl
2 4 8
direct
0.2053 0.7947 0.7500
0.7947 0.2053 0.2500
0.0975 0.4867 0.6529
0.4867 0.0975 0.1529
0.5133 0.9025 0.8471
0.9025 0.5133 0.3471
0.0192 0.6124 0.8765
0.1718 0.4280 0.3892
0.3876 0.9808 0.6235
0.4280 0.1718 0.8892
0.5720 0.8282 0.1108
0.6124 0.0192 0.3765
0.8282 0.5720 0.6108
0.9808 0.3876 0.1235
```

=====

# 3
Theoretical X-ray powder pattern
Compound: HoRe2
Radiation: copper Kα
Structure: a structure optimized by DFT (PBE)

Largest 10 diffraction maxima, in order of rising 2θ, 15° ≤ 2θ ≤ 90°:
2theta	Rel. int.
32.97	24
35.99	65
38.92	100
39.64	92
40.87	22
43.59	24
60.85	24
62.87	25
66.15	33
69.15	29

```
HoRe2
1.0
5.4337 0.0000 0.0000
-2.7168 4.7057 0.0000
0.0000 0.0000 8.8313
Ho Re
4 8
direct
0.3333 0.6667 0.0628
0.3333 0.6667 0.4372
0.6667 0.3333 0.5628
0.6667 0.3333 0.9372
0.0000 0.0000 0.0000
0.0000 0.0000 0.5000
0.1716 0.3431 0.7500
0.1716 0.8284 0.7500
0.3431 0.1716 0.2500
0.6569 0.8284 0.7500
0.8284 0.1716 0.2500
0.8284 0.6569 0.2500
```